PmTh2NpP4: computed X-ray powder pattern (a wavelength of 1.5418 Å), based on the GGA-PBE geometry in Alexandria.

```
16
Lattice="5.804 0.000 0.000 0.000 5.804 0.000 0.000 0.000 11.602" Properties=species:S:1:pos:R:3 pbc="T T T"
Pm 0.000 0.000 0.000
Pm 2.902 2.902 5.801
Th 0.000 0.000 5.801
Th 0.000 2.902 2.901
Th 2.902 0.000 8.702
Th 2.902 2.902 0.000
Np 0.000 2.902 8.702
Np 2.902 0.000 2.901
P 0.000 0.000 2.904
P 0.000 0.000 8.698
P 0.000 2.902 5.850
P 0.000 2.902 11.554
P 2.902 0.000 0.049
P 2.902 0.000 5.752
P 2.902 2.902 2.897
P 2.902 2.902 8.705
```

Principal peaks in the range 2θ = 15–90°, by angle:
d_spacing  two_theta  I/Imax
3.350  26.61  100.0
2.901  30.82  96.7
2.052  44.14  72.4
1.750  52.29  50.7
1.675  54.80  25.7
1.298  72.90  33.5